# Nd2DyTm7
Calculated XRD peak list, Cu Ka. Input: DFT lattice parameters and positions (PBE).
No peak broadening, texture or thermal motion is included.

Cell and atoms:
```
10
Lattice="6.1157 0.0000 0.0000 -2.0415 6.7546 0.0000 -1.0190 -2.1535 7.5227" Properties=species:S:1:pos:R:3 pbc="T T T"
Nd -0.0029 1.8387 2.9910
Nd 3.0581 2.7624 4.5317
Dy 0.0000 0.0000 0.0000
Tm -1.0208 3.3773 0.0000
Tm -1.0140 5.2210 3.0040
Tm 1.0155 0.2995 6.0274
Tm 0.0008 3.6905 6.0378
Tm 3.0544 0.9106 1.4850
Tm 2.0397 4.3016 1.4953
Tm 4.0692 -0.6199 4.5187
```

Most intense lines, 10° ≤ 2θ ≤ 90°, sorted by position:
2.881 Å, I = 100
2.495 Å, I = 51
1.764 Å, I = 36
1.505 Å, I = 39
1.441 Å, I = 12
1.145 Å, I = 15
1.116 Å, I = 7
1.116 Å, I = 10